This entry pairs a crystal structure of Mn2Sn2O7 with its simulated XRD peak list. Radiation: Cu Kα (weighted mean of Kα1 and Kα2). Structure: a cell relaxed with PBE+U.
Kinematic intensities with the Lorentz-polarization factor, no thermal factor.

Most intense lines, 2θ = 10–90°, by angle:
- 26.3 deg, intensity 10, hkl 1 0 1
- 30.7 deg, intensity 100, hkl 1 0 2
- 35.2 deg, intensity 16, hkl 1 1 0
- 36.4 deg, intensity 11, hkl 0 0 4
- 50.6 deg, intensity 20, hkl 2 0 0
- 51.5 deg, intensity 39, hkl 1 1 4
- 60.3 deg, intensity 29, hkl 2 1 2
- 61.9 deg, intensity 12, hkl 1 0 6
- 63.9 deg, intensity 7, hkl 2 0 4
- 83.9 deg, intensity 11, hkl 2 1 6

Cell and atoms:
Cell: 3.6087 3.6087 9.8832 Å, 90.00 90.00 90.00°
Fractional coordinates of all 11 atoms:
Mn 0.0000 0.5000 0.1346
Mn 0.5000 0.0000 0.8654
Sn 0.0000 0.5000 0.6310
Sn 0.5000 0.0000 0.3690
O 0.0000 0.0000 0.2236
O 0.0000 0.0000 0.5000
O 0.0000 0.0000 0.7764
O 0.5000 0.5000 0.0000
O 0.5000 0.5000 0.2513
O 0.5000 0.5000 0.5000
O 0.5000 0.5000 0.7487